Record 1
Diffraction record for PaHg2F6. The PXRD pattern is calculated, not measured: it uses a cell relaxed with GGA-PBE and copper Kα.
Lines closer than 0.1° are merged.

Crystal structure
```
PaHg2F6
1.0
5.730 0.000 0.000
-2.865 4.962 0.000
0.000 0.000 6.533
Pa Hg F
1 2 6
Cartesian
0.000 0.000 0.000 Pa
0.000 3.308 3.266 Hg
2.865 1.654 3.266 Hg
-0.860 1.489 5.312 F
-2.005 3.473 1.221 F
1.720 0.000 5.312 F
0.860 1.489 1.221 F
4.010 0.000 1.221 F
2.005 3.473 5.312 F
```

Principal peaks in the range 2θ = 10–80°, sorted by position:
index	2θ (°)	I/Imax
1 0 1	22.5	100
0 0 2	27.3	16
1 1 0	31.2	39
2 0 1	38.8	23
1 1 2	41.9	49
2 1 1	50.6	23



Record 2
Diffraction record for ZnFeGe. The PXRD pattern is calculated, not measured: it uses a cell relaxed with GGA-PBE and copper Kα.
Lines closer than 0.1° are merged.

Crystal structure
```
ZnFeGe
1.0
2.642 0.000 0.000
0.000 3.967 0.000
0.000 0.000 4.366
Zn Fe Ge
1 1 1
Cartesian
0.000 0.000 0.000 Zn
1.321 0.000 2.183 Fe
0.000 1.984 2.183 Ge
```

Principal peaks in the range 2θ = 10–80°, sorted by position:
index	2θ (°)	I/Imax
0 0 1	20.3	22
0 1 1	30.4	29
0 0 2	41.4	35
0 2 0	45.7	26
1 1 1	46.2	100
1 1 3	78.9	19